[1]
Starting from a PBE-relaxed structure, the powder diffraction line list of Dy2SeOF2 was simulated for Cu Kα, 1.54184 Å.

Cell and atoms:
a b c (Å): 13.4357 13.4357 3.7391
angles (deg): 90.00 90.00 120.00
Fractional coordinates of all 36 atoms:
Dy (0.0554, 0.7654, 0.2500)
Dy (0.1167, 0.5146, 0.2500)
Dy (0.2346, 0.2900, 0.2500)
Dy (0.2900, 0.0554, 0.7500)
Dy (0.3978, 0.8833, 0.2500)
Dy (0.4854, 0.6022, 0.2500)
Dy (0.5146, 0.3978, 0.7500)
Dy (0.6022, 0.1167, 0.7500)
Dy (0.7100, 0.9446, 0.2500)
Dy (0.7654, 0.7100, 0.7500)
Dy (0.8833, 0.4854, 0.7500)
Dy (0.9446, 0.2346, 0.7500)
Se (0.2066, 0.7186, 0.7500)
Se (0.2814, 0.4881, 0.7500)
Se (0.4881, 0.2066, 0.2500)
Se (0.5119, 0.7934, 0.7500)
Se (0.7186, 0.5119, 0.2500)
Se (0.7934, 0.2814, 0.2500)
O (0.0142, 0.4269, 0.7500)
O (0.4128, 0.9858, 0.7500)
O (0.4269, 0.4128, 0.2500)
O (0.5731, 0.5872, 0.7500)
O (0.5872, 0.0142, 0.2500)
O (0.9858, 0.5731, 0.2500)
F (0.0666, 0.3154, 0.2500)
F (0.1019, 0.8930, 0.7500)
F (0.1070, 0.2089, 0.7500)
F (0.2089, 0.1019, 0.2500)
F (0.2488, 0.9334, 0.2500)
F (0.3154, 0.2488, 0.7500)
F (0.6846, 0.7512, 0.2500)
F (0.7512, 0.0666, 0.7500)
F (0.7911, 0.8981, 0.7500)
F (0.8930, 0.7911, 0.2500)
F (0.8981, 0.1070, 0.2500)
F (0.9334, 0.6846, 0.7500)

The 10 most intense peaks (2θ = 15–90°), in order of rising 2θ:
h k l, two_theta, I (rel.)
3 1 0, 27.6, 100.0
2 1 1, 31.4, 96.5
3 0 1, 33.3, 72.7
2 2 1, 35.9, 44.4
1 3 1, 36.8, 40.1
0 0 2, 48.7, 28.9
2 5 0, 48.9, 44.2
5 2 1, 55.1, 38.0
3 1 2, 56.9, 28.2
2 5 2, 71.5, 28.3

[2]
Starting from a PBE-relaxed structure, the powder diffraction line list of KTlSb was simulated for Cu Kα, 1.54184 Å.

Cell and atoms:
a b c (Å): 5.6196 5.6196 3.5861
angles (deg): 90.00 90.00 120.00
Fractional coordinates of all 3 atoms:
K (0.0000, 0.0000, 0.0000)
Tl (0.3333, 0.6667, 0.6380)
Sb (0.6667, 0.3333, 0.4268)

The 10 most intense peaks (2θ = 15–90°), in order of rising 2θ:
h k l, two_theta, I (rel.)
1 0 0, 18.2, 53.7
0 0 1, 24.8, 22.8
1 0 1, 31.0, 98.8
1 1 0, 31.8, 100.0
1 1 1, 40.8, 38.3
0 2 1, 45.0, 35.1
1 0 2, 54.5, 25.5
2 1 1, 56.2, 36.3
3 0 0, 56.7, 19.1
2 1 2, 73.8, 20.9